[1]
Diffraction record for Tb2Pm2C3. The PXRD pattern is calculated, not measured: it uses a cell relaxed with PBE and Cu Kα X-rays.
Lines closer than 0.1° are merged.

Principal peaks in the range 2θ = 10–80°, by angle:
| hkl | d_spacing | 2θ/deg | I_rel |
| --- | --- | --- | --- |
| 2 1 1 | 3.305 | 26.97 | 26 |
| 2 2 0 | 2.863 | 31.25 | 100 |
| 3 0 1 | 2.560 | 35.05 | 59 |
| 3 2 1 | 2.164 | 41.74 | 23 |
| 4 1 3 | 1.588 | 58.09 | 37 |
| 5 2 1 | 1.478 | 62.87 | 25 |

Structure:
a = 8.097 Å, b = 8.097 Å, c = 8.097 Å
α = 90.00°, β = 90.00°, γ = 90.00°
Space group I2_13 (No. 199)
Inequivalent atoms, fractional coordinates:
Tb (0.209, 0.209, 0.209) [8 per cell]
Pm (0.044, 0.456, 0.544) [8 per cell]
C (0.000, 0.250, 0.863) [12 per cell]

***

[2]
Diffraction record for HoMnB. The PXRD pattern is calculated, not measured: it uses a cell relaxed with PBE and Cu Kα X-rays.
Lines closer than 0.1° are merged.

Principal peaks in the range 2θ = 10–80°, by angle:
| hkl | d_spacing | 2θ/deg | I_rel |
| --- | --- | --- | --- |
| 1 0 1 | 3.178 | 28.08 | 100 |
| 0 0 3 | 2.627 | 34.14 | 28 |
| 1 0 2 | 2.605 | 34.43 | 41 |
| 1 1 1 | 2.344 | 38.40 | 27 |
| 1 1 2 | 2.084 | 43.42 | 46 |
| 2 1 1 | 1.524 | 60.79 | 24 |

Structure:
a = 3.473 Å, b = 3.473 Å, c = 7.880 Å
α = 90.00°, β = 90.00°, γ = 90.00°
Space group P4/nmm (No. 129, origin choice 2)
Inequivalent atoms, fractional coordinates:
Ho (0.250, 0.250, 0.189) [2 per cell]
Mn (0.250, 0.750, 0.500) [2 per cell]
B (0.250, 0.250, 0.654) [2 per cell]

***

[3]
Diffraction record for Li6Al2Sn. The PXRD pattern is calculated, not measured: it uses a cell relaxed with PBE and Cu Kα X-rays.
Lines closer than 0.1° are merged.

Principal peaks in the range 2θ = 10–80°, by angle:
| hkl | d_spacing | 2θ/deg | I_rel |
| --- | --- | --- | --- |
| 1 0 1 | 5.300 | 16.73 | 59 |
| 1 1 0 | 3.981 | 22.33 | 100 |
| 0 1 2 | 3.551 | 25.08 | 29 |
| 3 0 0 | 2.299 | 39.19 | 38 |
| 1 1 3 | 2.269 | 39.72 | 63 |
| 4 1 3 | 1.321 | 71.39 | 23 |

Structure:
a = 7.9623 Å, b = 7.9623 Å, c = 8.2846 Å
α = 90.00°, β = 90.00°, γ = 120.00°
Space group R-3m (No. 166, hexagonal axes)
Inequivalent atoms, fractional coordinates:
Li (0.0000, 0.3324, 0.0000) [18 per cell]
Al (0.0000, 0.0000, 0.1571) [6 per cell]
Sn (0.0000, 0.0000, 0.5000) [3 per cell]

***

[4]
Diffraction record for Tb2Sm6Se3. The PXRD pattern is calculated, not measured: it uses a cell relaxed with PBE and Cu Kα X-rays.
Lines closer than 0.1° are merged.

Principal peaks in the range 2θ = 10–80°, by angle:
| hkl | d_spacing | 2θ/deg | I_rel |
| --- | --- | --- | --- |
| 0 1 8 | 3.168 | 28.17 | 33 |
| 0 1 11 | 3.025 | 29.53 | 100 |
| 0 1 14 | 2.863 | 31.24 | 28 |
| 1 0 16 | 2.751 | 32.55 | 19 |
| 1 0 19 | 2.583 | 34.73 | 34 |
| 1 1 0 | 1.937 | 46.90 | 48 |

Structure:
a = 3.8747 Å, b = 3.8747 Å, c = 76.8914 Å
α = 90.00°, β = 90.00°, γ = 120.00°
Space group R-3m (No. 166, hexagonal axes)
Inequivalent atoms, fractional coordinates:
Tb (0.0000, 0.0000, 0.0556) [6 per cell]
Sm (0.0000, 0.0000, 0.1421) [6 per cell]
Sm (0.0000, 0.0000, 0.3148) [6 per cell]
Sm (0.0000, 0.0000, 0.4263) [6 per cell]
Se (0.0000, 0.0000, 0.2155) [6 per cell]
Se (0.0000, 0.0000, 0.5000) [3 per cell]

***

[5]
Diffraction record for Cs4Sm3SnS8. The PXRD pattern is calculated, not measured: it uses a cell relaxed with PBE and Cu Kα X-rays.
Lines closer than 0.1° are merged.

Principal peaks in the range 2θ = 10–80°, by angle:
| hkl | d_spacing | 2θ/deg | I_rel |
| --- | --- | --- | --- |
| 0 0 6 | 4.033 | 22.04 | 30 |
| 2 0 2 | 3.471 | 25.66 | 51 |
| 0 2 4 | 3.109 | 28.72 | 100 |
| 2 0 8 | 2.322 | 38.78 | 37 |
| 2 2 0 | 2.092 | 43.24 | 34 |
| 0 0 12 | 2.013 | 45.03 | 24 |

Structure:
a = 8.3686 Å, b = 8.3686 Å, c = 24.1972 Å
α = 90.00°, β = 90.00°, γ = 120.00°
Space group R-3m (No. 166, hexagonal axes)
Inequivalent atoms, fractional coordinates:
Cs (0.0000, 0.0000, 0.0000) [3 per cell]
Cs (0.0000, 0.5000, 0.0000) [9 per cell]
Sm (0.0000, 0.5000, 0.5000) [9 per cell]
Sn (0.0000, 0.0000, 0.5000) [3 per cell]
S (0.0000, 0.0000, 0.2286) [6 per cell]
S (0.0040, 0.5020, 0.2276) [18 per cell]

***

[6]
Diffraction record for LaAg2. The PXRD pattern is calculated, not measured: it uses a cell relaxed with PBE and Cu Kα X-rays.
Lines closer than 0.1° are merged.

Principal peaks in the range 2θ = 10–80°, by angle:
| hkl | d_spacing | 2θ/deg | I_rel |
| --- | --- | --- | --- |
| 1 2 1 | 2.766 | 32.36 | 100 |
| 0 2 2 | 2.753 | 32.52 | 45 |
| 2 0 0 | 2.436 | 36.90 | 41 |
| 1 0 3 | 2.410 | 37.31 | 70 |
| 2 2 2 | 1.825 | 49.99 | 26 |
| 1 4 3 | 1.462 | 63.67 | 28 |

Structure:
a = 4.872 Å, b = 7.347 Å, c = 8.319 Å
α = 90.00°, β = 90.00°, γ = 90.00°
Space group Imma (No. 74)
Inequivalent atoms, fractional coordinates:
La (0.000, 0.250, 0.031) [4 per cell]
Ag (0.000, 0.038, 0.666) [8 per cell]